Entry 1:
Simulated X-ray diffraction stick pattern
Compound: Sm6Ru2O
Radiation: Cu Ka
Structure: a structure optimized by DFT (GGA-PBE)
No peak broadening, texture or thermal motion is included.

Most intense lines, 10 to 90 degrees two-theta, most intense first:
Position (°2θ), I_rel
31.00, 100
33.85, 65
31.49, 44
30.06, 43
37.63, 42
31.67, 38
33.51, 36
31.37, 36

Structural model:
```
Sm6Ru2O
1.0
6.5192 0.0000 0.0000
0.0000 7.2500 0.0000
-6.3522 0.0000 9.5513
Sm Ru O
12 4 2
direct
0.1187 0.0455 0.2446
0.1187 0.4545 0.7446
0.2369 0.6830 0.0653
0.2369 0.8170 0.5653
0.3766 0.1691 0.0613
0.3766 0.3309 0.5613
0.6234 0.6691 0.4387
0.6234 0.8309 0.9387
0.7631 0.1830 0.4347
0.7631 0.3170 0.9347
0.8813 0.5455 0.2554
0.8813 0.9545 0.7554
0.2909 0.1017 0.7548
0.2909 0.3983 0.2548
0.7091 0.6017 0.7452
0.7091 0.8983 0.2452
0.0000 0.0000 0.0000
0.0000 0.5000 0.5000
```


Entry 2:
Simulated X-ray diffraction stick pattern
Compound: Sm2TlRuO8
Radiation: Cu Ka
Structure: a structure optimized by DFT (GGA-PBE)
No peak broadening, texture or thermal motion is included.

Most intense lines, 10 to 90 degrees two-theta, most intense first:
Position (°2θ), I_rel
29.91, 100
25.41, 97
31.25, 84
27.40, 54
49.24, 28
22.62, 25
56.25, 25
47.61, 23

Structural model:
```
Sm2TlRuO8
1.0
4.7763 0.0000 0.0000
-0.3472 4.7870 0.0000
-0.3054 -0.3262 7.3962
Sm Tl Ru O
2 1 1 8
direct
0.0607 0.0586 0.2597
0.9393 0.9414 0.7403
0.5000 0.5000 0.0000
0.5000 0.5000 0.5000
0.1930 0.1931 0.9772
0.2217 0.2249 0.5498
0.2582 0.6270 0.3068
0.3730 0.7438 0.6919
0.6270 0.2562 0.3081
0.7418 0.3730 0.6932
0.7783 0.7751 0.4502
0.8070 0.8069 0.0228
```


Entry 3:
Simulated X-ray diffraction stick pattern
Compound: Sr4Ru3O10
Radiation: Cu Ka
Structure: a structure optimized by DFT (GGA-PBE)
No peak broadening, texture or thermal motion is included.

Most intense lines, 10 to 90 degrees two-theta, most intense first:
Position (°2θ), I_rel
31.36, 100
31.83, 58
56.42, 38
45.63, 35
55.52, 18
65.44, 17
44.24, 15
66.52, 11

Structural model:
```
Sr4Ru3O10
1.0
-1.9880 1.9880 14.3315
1.9880 -1.9880 14.3315
1.9880 1.9880 -14.3315
Sr Ru O
4 3 10
direct
0.0692 0.0692 0.0000
0.2029 0.2029 0.0000
0.7971 0.7971 0.0000
0.9308 0.9308 0.0000
0.3588 0.3588 0.0000
0.5000 0.5000 0.0000
0.6412 0.6412 0.0000
0.0000 0.5000 0.5000
0.1394 0.6394 0.5000
0.2882 0.2882 0.0000
0.3606 0.8606 0.5000
0.4307 0.4307 0.0000
0.5000 0.0000 0.5000
0.5693 0.5693 0.0000
0.6394 0.1394 0.5000
0.7118 0.7118 0.0000
0.8606 0.3606 0.5000
```


Entry 4:
Simulated X-ray diffraction stick pattern
Compound: Sr4Ru3O10
Radiation: Cu Ka
Structure: a structure optimized by DFT (GGA-PBE)
No peak broadening, texture or thermal motion is included.

Most intense lines, 10 to 90 degrees two-theta, most intense first:
Position (°2θ), I_rel
31.29, 100
32.19, 60
56.82, 41
46.16, 32
55.11, 20
65.27, 17
43.47, 17
76.61, 11

Structural model:
```
Sr4Ru3O10
1.0
14.5714 -2.7810 0.0000
14.5714 2.7810 0.0000
0.0000 0.0000 5.5622
Sr Ru O
8 6 20
direct
0.0697 0.0697 0.0000
0.2043 0.2043 0.0000
0.2957 0.2957 0.5000
0.4303 0.4303 0.5000
0.5697 0.5697 0.5000
0.7043 0.7043 0.5000
0.7957 0.7957 0.0000
0.9303 0.9303 0.0000
0.0000 0.0000 0.5000
0.1403 0.1403 0.5000
0.3597 0.3597 0.0000
0.5000 0.5000 0.0000
0.6403 0.6403 0.0000
0.8597 0.8597 0.5000
0.0687 0.0687 0.5000
0.0690 0.6529 0.2081
0.1529 0.5690 0.7081
0.1968 0.8032 0.8032
0.2106 0.2106 0.5000
0.2894 0.2894 0.0000
0.3032 0.6968 0.3032
0.3471 0.9310 0.2081
0.4313 0.4313 0.0000
0.4310 0.8471 0.7081
0.5690 0.1529 0.2919
0.5687 0.5687 0.0000
0.6529 0.0690 0.7919
0.6968 0.3032 0.6968
0.7106 0.7106 0.0000
0.7894 0.7894 0.5000
0.8032 0.1968 0.1968
0.8471 0.4310 0.2919
0.9310 0.3471 0.7919
0.9313 0.9313 0.5000
```


Entry 5:
Simulated X-ray diffraction stick pattern
Compound: Sr4Ru2O9
Radiation: Cu Ka
Structure: a structure optimized by DFT (GGA-PBE)
No peak broadening, texture or thermal motion is included.

Most intense lines, 10 to 90 degrees two-theta, most intense first:
Position (°2θ), I_rel
31.70, 100
28.58, 72
43.20, 57
15.12, 48
54.57, 23
48.57, 22
56.47, 20
66.22, 19

Structural model:
```
Sr4Ru2O9
1.0
9.7773 0.0000 0.0000
-4.8887 8.4674 0.0000
0.0000 0.0000 8.1186
Sr Ru O
12 6 27
direct
0.0000 0.6544 0.0000
0.0000 0.6756 0.5000
0.0123 0.3336 0.2522
0.3213 0.9877 0.2522
0.3244 0.3244 0.5000
0.3336 0.0123 0.7478
0.3456 0.3456 0.0000
0.6544 0.0000 0.0000
0.6664 0.6787 0.2522
0.6756 0.0000 0.5000
0.6787 0.6664 0.7478
0.9877 0.3213 0.7478
0.0000 0.0000 0.3432
0.0000 0.0000 0.6568
0.3333 0.6667 0.0997
0.3333 0.6667 0.4138
0.6667 0.3333 0.5862
0.6667 0.3333 0.9003
0.0000 0.1653 0.5000
0.0101 0.8357 0.7770
0.1500 0.6405 0.2547
0.1643 0.1744 0.7770
0.1653 0.0000 0.5000
0.1744 0.1643 0.2230
0.1775 0.4864 0.9786
0.1797 0.4933 0.5344
0.3089 0.8225 0.9786
0.3136 0.8203 0.5344
0.3595 0.5095 0.2547
0.4864 0.1775 0.0214
0.4905 0.8500 0.2547
0.4933 0.1797 0.4656
0.5067 0.6864 0.5344
0.5095 0.3595 0.7453
0.5136 0.6911 0.9786
0.6405 0.1500 0.7453
0.6864 0.5067 0.4656
0.6911 0.5136 0.0214
0.8203 0.3136 0.4656
0.8225 0.3089 0.0214
0.8256 0.9899 0.7770
0.8347 0.8347 0.5000
0.8357 0.0101 0.2230
0.8500 0.4905 0.7453
0.9899 0.8256 0.2230
```


Entry 6:
Simulated X-ray diffraction stick pattern
Compound: Sr4Ru6O19
Radiation: Cu Ka
Structure: a structure optimized by DFT (GGA-PBE)
No peak broadening, texture or thermal motion is included.

Most intense lines, 10 to 90 degrees two-theta, most intense first:
Position (°2θ), I_rel
30.26, 100
35.98, 58
23.33, 47
49.78, 46
59.38, 32
19.01, 27
13.41, 26
53.76, 17

Structural model:
```
Sr4Ru6O19
1.0
-4.6696 4.6696 4.6696
4.6696 -4.6696 4.6696
4.6696 4.6696 -4.6696
Sr Ru O
4 6 19
direct
0.0000 0.0000 0.2991
0.0000 0.2991 0.0000
0.2991 0.0000 0.0000
0.7009 0.7009 0.7009
0.1646 0.5000 0.6646
0.3354 0.8354 0.5000
0.5000 0.3354 0.8354
0.5000 0.6646 0.1646
0.6646 0.1646 0.5000
0.8354 0.5000 0.3354
0.0000 0.0000 0.0000
0.0000 0.3688 0.3688
0.0000 0.6312 0.6312
0.0472 0.7084 0.3340
0.2868 0.6611 0.9528
0.2916 0.3389 0.6256
0.3340 0.0472 0.7084
0.3389 0.6256 0.2916
0.3688 0.0000 0.3688
0.3688 0.3688 0.0000
0.3744 0.7133 0.6660
0.6256 0.2916 0.3389
0.6312 0.0000 0.6312
0.6312 0.6312 0.0000
0.6611 0.9528 0.2868
0.6660 0.3744 0.7133
0.7084 0.3340 0.0472
0.7133 0.6660 0.3744
0.9528 0.2868 0.6611
```


Entry 7:
Simulated X-ray diffraction stick pattern
Compound: Sr10TiRu4O20
Radiation: Cu Ka
Structure: a structure optimized by DFT (GGA-PBE)
No peak broadening, texture or thermal motion is included.

Most intense lines, 10 to 90 degrees two-theta, most intense first:
Position (°2θ), I_rel
30.95, 100
32.36, 65
56.83, 37
46.41, 35
64.47, 24
54.13, 20
42.17, 17
13.77, 15

Structural model:
```
Sr10TiRu4O20
1.0
-1.9564 1.9564 32.1442
1.9564 -1.9564 32.1442
1.9564 1.9564 -32.1442
Sr Ti Ru O
10 1 4 20
direct
0.0288 0.0288 0.0000
0.1703 0.1703 0.0000
0.2295 0.2295 0.0000
0.3708 0.3708 0.0000
0.4300 0.4300 0.0000
0.5700 0.5700 0.0000
0.6292 0.6292 0.0000
0.7705 0.7705 0.0000
0.8297 0.8297 0.0000
0.9712 0.9712 0.0000
0.5000 0.5000 0.0000
0.0996 0.0996 0.0000
0.3001 0.3001 0.0000
0.6999 0.6999 0.0000
0.9004 0.9004 0.0000
0.0000 0.5000 0.5000
0.0669 0.0669 0.0000
0.0996 0.5996 0.5000
0.1323 0.1323 0.0000
0.1999 0.6999 0.5000
0.2675 0.2675 0.0000
0.3001 0.8001 0.5000
0.3328 0.3328 0.0000
0.4004 0.9004 0.5000
0.4687 0.4687 0.0000
0.5000 0.0000 0.5000
0.5313 0.5313 0.0000
0.5996 0.0996 0.5000
0.6672 0.6672 0.0000
0.6999 0.1999 0.5000
0.7325 0.7325 0.0000
0.8001 0.3001 0.5000
0.8677 0.8677 0.0000
0.9004 0.4004 0.5000
0.9331 0.9331 0.0000
```